Record 1
For ThMnAl, a DFT-relaxed cell (GGA-PBE, the Materials Project) gives the theoretical X-ray powder pattern in this record (a wavelength of 1.5418 Å).
Intensities are scaled so that the largest is 1000.

Atomic structure:
```
12
Lattice="5.5728 0.0000 0.0000 0.0000 5.5741 0.0000 0.0000 0.0000 7.6498" Properties=species:S:1:pos:R:3 pbc="T T T"
Th 0.0000 1.3935 0.8779
Th 0.0000 4.1806 6.7719
Th 2.7864 1.3935 2.9470
Th 2.7864 4.1806 4.7028
Mn 1.3932 1.3935 5.7374
Mn 1.3932 4.1806 1.9124
Mn 4.1796 1.3935 5.7374
Mn 4.1796 4.1806 1.9124
Al 0.0000 0.0000 3.8249
Al 0.0000 2.7871 3.8249
Al 2.7864 0.0000 0.0000
Al 2.7864 2.7871 0.0000
```

Principal peaks in the range 2θ from 15° to 90°, by angle:
Position (°2θ)  I_rel
19.71  872
32.12  498
32.62  925
37.97  1000
38.84  481
51.25  148
57.58  381
58.54  175
61.17  250
61.78  124
68.35  200
80.41  118



Record 2
For Ca2ZnHg, a DFT-relaxed cell (GGA-PBE, the Materials Project) gives the theoretical X-ray powder pattern in this record (a wavelength of 1.5418 Å).
Intensities are scaled so that the largest is 1000.

Atomic structure:
```
16
Lattice="7.4923 0.0000 0.0000 0.0000 7.4923 0.0000 0.0000 0.0000 7.4923" Properties=species:S:1:pos:R:3 pbc="T T T"
Ca 1.8731 1.8731 1.8731
Ca 1.8731 1.8731 5.6192
Ca 1.8731 5.6192 1.8731
Ca 1.8731 5.6192 5.6192
Ca 5.6192 1.8731 1.8731
Ca 5.6192 1.8731 5.6192
Ca 5.6192 5.6192 1.8731
Ca 5.6192 5.6192 5.6192
Zn 0.0000 0.0000 0.0000
Zn 0.0000 3.7462 3.7462
Zn 3.7462 0.0000 3.7462
Zn 3.7462 3.7462 0.0000
Hg 0.0000 0.0000 3.7462
Hg 0.0000 3.7462 0.0000
Hg 3.7462 0.0000 0.0000
Hg 3.7462 3.7462 3.7462
```

Principal peaks in the range 2θ from 15° to 90°, by angle:
Position (°2θ)  I_rel
20.53  287
23.75  323
33.84  1000
39.91  169
41.76  106
48.61  177
53.30  76
54.79  149
60.54  361
71.19  110
76.25  73
81.20  154



Record 3
For LiLa2HO3, a DFT-relaxed cell (GGA-PBE, the Materials Project) gives the theoretical X-ray powder pattern in this record (a wavelength of 1.5418 Å).
Intensities are scaled so that the largest is 1000.

Atomic structure:
```
14
Lattice="3.5817 0.0000 0.0000 0.0000 3.7984 0.0000 0.0000 0.0000 12.9306" Properties=species:S:1:pos:R:3 pbc="T T T"
Li 0.0000 0.0000 0.0000
Li 1.7908 1.8992 6.4653
La 0.0000 0.0000 4.6996
La 0.0000 0.0000 8.2310
La 1.7908 1.8992 1.7657
La 1.7908 1.8992 11.1649
H 0.0000 1.8992 6.4653
H 1.7908 0.0000 0.0000
O 0.0000 0.0000 2.2916
O 0.0000 0.0000 10.6389
O 0.0000 1.8992 0.0000
O 1.7908 0.0000 6.4653
O 1.7908 1.8992 4.1737
O 1.7908 1.8992 8.7569
```

Principal peaks in the range 2θ from 15° to 90°, by angle:
Position (°2θ)  I_rel
24.42  850
25.81  492
27.59  628
31.39  514
32.50  640
34.42  1000
44.67  882
47.90  239
51.00  197
55.26  346
56.17  176
59.08  239